# VSnAs3
Computed powder diffraction line list, Cu Ka. Input: the GGA-PBE geometry in Alexandria.
Intensities are scaled so that the largest is 100.

Cell and atoms:
Lattice parameters (Å, degrees): 4.8119 4.8119 4.8119 90.00 90.00 90.00
Fractional coordinates of all 5 atoms:
V: 0.0000 0.0000 0.0000
Sn: 0.5000 0.5000 0.5000
As: 0.0000 0.0000 0.5000
As: 0.0000 0.5000 0.0000
As: 0.5000 0.0000 0.0000

The 12 most intense peaks (2θ = 10–90°), in order of rising 2θ:
2theta, Rel. int.
26.19, 25
32.22, 100
37.38, 89
46.21, 11
53.89, 61
60.88, 5
64.20, 42
67.42, 21
73.66, 5
79.71, 10
85.64, 3
88.59, 19

***

# Zn2SnAs3
Computed powder diffraction line list, Cu Ka. Input: the GGA-PBE geometry in Alexandria.
Intensities are scaled so that the largest is 100.

Cell and atoms:
Lattice parameters (Å, degrees): 7.1758 7.1758 7.1363 99.56 99.56 119.90
Fractional coordinates of all 12 atoms:
Zn: 0.0816 0.9184 0.5000
Zn: 0.2611 0.7645 0.0011
Zn: 0.7645 0.2611 0.5011
Zn: 0.9184 0.0816 0.0000
Sn: 0.4259 0.6010 0.5084
Sn: 0.6010 0.4259 0.0084
As: 0.1158 0.6367 0.6336
As: 0.2769 0.4601 0.1134
As: 0.4601 0.2769 0.6134
As: 0.6367 0.1158 0.1336
As: 0.8179 0.9871 0.6333
As: 0.9871 0.8179 0.1333

The 12 most intense peaks (2θ = 10–90°), in order of rising 2θ:
2theta, Rel. int.
26.35, 100
26.48, 34
43.69, 66
43.89, 33
51.71, 25
51.87, 29
63.56, 10
69.97, 6
70.23, 6
80.12, 7
80.45, 10
86.43, 6

***

# Sr3As2
Computed powder diffraction line list, Cu Ka. Input: the GGA-PBE geometry in Alexandria.
Intensities are scaled so that the largest is 100.

Cell and atoms:
Lattice parameters (Å, degrees): 8.3199 7.8376 8.1222 62.81 56.92 60.27
Fractional coordinates of all 10 atoms:
Sr: 0.0000 0.0000 0.0000
Sr: 0.0251 0.6476 0.7865
Sr: 0.2500 0.2500 0.2500
Sr: 0.4635 0.7091 0.2249
Sr: 0.6476 0.0251 0.5409
Sr: 0.7091 0.4635 0.6024
As: 0.0527 0.6445 0.3934
As: 0.3407 0.8566 0.6055
As: 0.6445 0.0527 0.9093
As: 0.8566 0.3407 0.1973

The 12 most intense peaks (2θ = 10–90°), in order of rising 2θ:
2theta, Rel. int.
21.41, 43
22.04, 31
24.76, 87
25.97, 39
27.04, 44
31.46, 36
33.22, 48
33.43, 42
34.27, 52
37.49, 53
38.76, 100
41.19, 46

***

# SrAs6
Computed powder diffraction line list, Cu Ka. Input: the GGA-PBE geometry in Alexandria.
Intensities are scaled so that the largest is 100.

Cell and atoms:
Lattice parameters (Å, degrees): 7.4158 7.4158 7.4158 90.00 90.00 90.00
Fractional coordinates of all 14 atoms:
Sr: 0.0000 0.0000 0.0000
Sr: 0.5000 0.5000 0.5000
As: 0.0000 0.2500 0.5000
As: 0.0000 0.5000 0.2500
As: 0.0000 0.5000 0.7500
As: 0.0000 0.7500 0.5000
As: 0.2500 0.0000 0.5000
As: 0.2500 0.5000 0.0000
As: 0.5000 0.0000 0.2500
As: 0.5000 0.0000 0.7500
As: 0.5000 0.2500 0.0000
As: 0.5000 0.7500 0.0000
As: 0.7500 0.0000 0.5000
As: 0.7500 0.5000 0.0000

The 12 most intense peaks (2θ = 10–90°), in order of rising 2θ:
2theta, Rel. int.
16.91, 15
24.00, 42
29.50, 100
42.21, 30
45.78, 59
49.14, 31
55.41, 17
58.37, 14
69.42, 17
72.04, 19
79.71, 17
87.19, 11

***

# SrAs8
Computed powder diffraction line list, Cu Ka. Input: the GGA-PBE geometry in Alexandria.
Intensities are scaled so that the largest is 100.

Cell and atoms:
Lattice parameters (Å, degrees): 7.6567 7.6567 7.6567 93.13 93.13 152.95
Fractional coordinates of all 9 atoms:
Sr: 0.0000 0.0000 0.0000
As: 0.0000 0.3541 0.3541
As: 0.0000 0.6459 0.6459
As: 0.3089 0.3089 0.6178
As: 0.3089 0.6911 0.0000
As: 0.3541 0.0000 0.3541
As: 0.6459 0.0000 0.6459
As: 0.6911 0.3089 0.0000
As: 0.6911 0.6911 0.3822

The 12 most intense peaks (2θ = 10–90°), in order of rising 2θ:
2theta, Rel. int.
11.89, 6
23.91, 10
35.83, 100
36.20, 43
43.53, 6
51.01, 10
52.13, 11
53.39, 12
64.14, 16
64.87, 20
75.93, 7
86.03, 8

***

# Sr3As4
Computed powder diffraction line list, Cu Ka. Input: the GGA-PBE geometry in Alexandria.
Intensities are scaled so that the largest is 100.

Cell and atoms:
Lattice parameters (Å, degrees): 9.5197 8.0809 11.7345 53.66 43.14 83.20
Fractional coordinates of all 14 atoms:
Sr: 0.0000 0.0000 0.0000
Sr: 0.2500 0.2500 0.2500
Sr: 0.3049 0.6334 0.3611
Sr: 0.5494 0.8889 0.6166
Sr: 0.6334 0.3049 0.7006
Sr: 0.8889 0.5494 0.9451
As: 0.1430 0.3128 0.0166
As: 0.2334 0.7224 0.1070
As: 0.3128 0.1430 0.5276
As: 0.4105 0.5882 0.5843
As: 0.5882 0.4105 0.4170
As: 0.6657 0.8330 0.8395
As: 0.7224 0.2334 0.9372
As: 0.8330 0.6657 0.6618

The 12 most intense peaks (2θ = 10–90°), in order of rising 2θ:
2theta, Rel. int.
16.57, 14
23.63, 10
27.50, 35
32.00, 100
36.64, 61
42.41, 44
47.51, 26
57.21, 15
57.32, 16
65.61, 10
70.11, 12
70.98, 10

***

# SrAs
Computed powder diffraction line list, Cu Ka. Input: the GGA-PBE geometry in Alexandria.
Intensities are scaled so that the largest is 100.

Cell and atoms:
Lattice parameters (Å, degrees): 8.3672 8.3672 6.2139 90.00 90.00 120.00
Fractional coordinates of all 12 atoms:
Sr: 0.0000 0.3136 0.0000
Sr: 0.0000 0.6479 0.5000
Sr: 0.3136 0.0000 0.0000
Sr: 0.3521 0.3521 0.5000
Sr: 0.6479 0.0000 0.5000
Sr: 0.6864 0.6864 0.0000
As: 0.0000 0.0000 0.2956
As: 0.0000 0.0000 0.7044
As: 0.3333 0.6667 0.2101
As: 0.3333 0.6667 0.7899
As: 0.6667 0.3333 0.2101
As: 0.6667 0.3333 0.7899

The 12 most intense peaks (2θ = 10–90°), in order of rising 2θ:
2theta, Rel. int.
21.24, 17
25.67, 100
28.52, 9
36.01, 88
37.23, 86
45.77, 19
49.08, 17
52.76, 28
60.41, 15
66.33, 27
67.12, 14
72.32, 14

***

# SrAs
Computed powder diffraction line list, Cu Ka. Input: the GGA-PBE geometry in Alexandria.
Intensities are scaled so that the largest is 100.

Cell and atoms:
Lattice parameters (Å, degrees): 5.9811 8.3446 9.9170 90.00 90.00 90.00
Fractional coordinates of all 16 atoms:
Sr: 0.1257 0.1893 0.1176
Sr: 0.1257 0.3107 0.6176
Sr: 0.3743 0.6893 0.1176
Sr: 0.3743 0.8107 0.6176
Sr: 0.6257 0.1893 0.3824
Sr: 0.6257 0.3107 0.8824
Sr: 0.8743 0.6893 0.3824
Sr: 0.8743 0.8107 0.8824
As: 0.1304 0.0250 0.4011
As: 0.1304 0.4750 0.9011
As: 0.3696 0.5250 0.4011
As: 0.3696 0.9750 0.9011
As: 0.6304 0.0250 0.0989
As: 0.6304 0.4750 0.5989
As: 0.8696 0.5250 0.0989
As: 0.8696 0.9750 0.5989

The 12 most intense peaks (2θ = 10–90°), in order of rising 2θ:
2theta, Rel. int.
20.34, 15
23.13, 25
25.66, 31
31.78, 100
33.08, 29
34.62, 15
36.23, 28
36.77, 32
42.16, 33
47.03, 13
48.96, 17
54.24, 16

***

Please write out number 1 again, unchanged.
# VSnAs3
Computed powder diffraction line list, Cu Ka. Input: the GGA-PBE geometry in Alexandria.
Intensities are scaled so that the largest is 100.

Cell and atoms:
Lattice parameters (Å, degrees): 4.8119 4.8119 4.8119 90.00 90.00 90.00
Fractional coordinates of all 5 atoms:
V: 0.0000 0.0000 0.0000
Sn: 0.5000 0.5000 0.5000
As: 0.0000 0.0000 0.5000
As: 0.0000 0.5000 0.0000
As: 0.5000 0.0000 0.0000

The 12 most intense peaks (2θ = 10–90°), in order of rising 2θ:
2theta, Rel. int.
26.19, 25
32.22, 100
37.38, 89
46.21, 11
53.89, 61
60.88, 5
64.20, 42
67.42, 21
73.66, 5
79.71, 10
85.64, 3
88.59, 19